Theoretical powder diffractogram of Ca3Ga2Pd5 for Cu Ka, from the PBE geometry in Alexandria.
Neutral-atom scattering factors, no anomalous dispersion.

Crystal structure
```
Ca3Ga2Pd5
1.0
10.184 0.000 0.000
0.000 10.184 0.000
0.000 0.000 3.807
Ca Ga Pd
6 4 10
Cartesian
0.000 0.000 0.000
1.795 3.297 0.000
3.297 8.389 0.000
5.092 5.092 0.000
6.887 1.795 0.000
8.389 6.887 0.000
1.213 6.305 0.000
3.879 1.213 0.000
6.305 8.971 0.000
8.971 3.879 0.000
0.000 5.092 1.903
0.717 7.948 1.903
2.236 0.717 1.903
2.856 5.809 1.903
4.375 2.856 1.903
5.092 0.000 1.903
5.809 7.328 1.903
7.328 4.375 1.903
7.948 9.467 1.903
9.467 2.236 1.903
```

Most intense lines, 10 to 90 degrees two-theta, low angle first:
d/Å, 2θ (°), I_rel
4.554, 19.49, 565
3.807, 23.37, 232
2.616, 34.28, 234
2.470, 36.37, 532
2.459, 36.55, 1000
2.277, 39.58, 276
2.268, 39.74, 767
2.116, 42.73, 317
1.903, 47.79, 307
1.508, 61.51, 218

=====

Theoretical powder diffractogram of Ca2MgCd for Cu Ka, from the PBE geometry in Alexandria.
Neutral-atom scattering factors, no anomalous dispersion.

Crystal structure
```
Ca2MgCd
1.0
0.000 3.892 3.892
3.892 0.000 3.892
3.892 3.892 0.000
Ca Mg Cd
2 1 1
Cartesian
1.946 1.946 1.946
5.838 5.838 5.838
0.000 0.000 0.000
3.892 3.892 3.892
```

Most intense lines, 10 to 90 degrees two-theta, low angle first:
d/Å, 2θ (°), I_rel
4.494, 19.76, 355
3.892, 22.85, 70
2.752, 32.54, 1000
2.347, 38.36, 198
1.946, 46.68, 173
1.786, 51.16, 84
1.589, 58.06, 346
1.498, 61.95, 61
1.376, 68.15, 103
1.231, 77.57, 140

=====

Theoretical powder diffractogram of RbCuC2 for Cu Ka, from the PBE geometry in Alexandria.
Neutral-atom scattering factors, no anomalous dispersion.

Crystal structure
```
RbCuC2
1.0
4.930 0.000 0.000
0.000 4.930 0.000
0.000 0.000 8.499
Rb Cu C
2 2 4
Cartesian
0.000 0.000 2.125
0.000 0.000 6.374
2.465 2.465 0.000
2.465 2.465 4.249
0.627 2.465 0.000
2.465 0.627 4.249
2.465 4.303 4.249
4.303 2.465 0.000
```

Most intense lines, 10 to 90 degrees two-theta, low angle first:
d/Å, 2θ (°), I_rel
3.486, 25.55, 469
3.219, 27.72, 1000
2.465, 36.45, 259
1.957, 46.40, 412
1.814, 50.29, 149
1.609, 57.24, 131
1.559, 59.27, 106
1.533, 60.39, 119
1.302, 72.63, 121
1.257, 75.66, 100

=====

Theoretical powder diffractogram of CoSn3 for Cu Ka, from the PBE geometry in Alexandria.
Neutral-atom scattering factors, no anomalous dispersion.

Crystal structure
```
CoSn3
1.0
-3.145 3.145 17.063
3.145 -3.145 17.063
3.145 3.145 -17.063
Co Sn
8 24
Cartesian
3.145 -1.573 11.438
3.145 -1.573 14.157
3.145 1.573 2.906
3.145 1.573 5.625
0.000 1.573 11.438
0.000 1.573 14.157
0.000 4.718 2.906
0.000 4.718 5.625
4.294 0.420 -1.446
4.174 -0.544 4.266
5.142 0.420 1.446
1.993 -0.424 7.085
1.029 0.544 4.266
1.993 2.721 -7.085
1.993 3.569 -9.978
1.029 -0.544 12.797
1.993 0.424 9.978
1.996 2.725 -1.446
1.029 3.689 -4.266
1.149 2.725 1.446
1.996 0.420 15.617
2.117 -0.544 21.329
1.149 0.420 18.509
1.153 2.721 7.085
2.117 3.689 4.266
1.153 -0.424 27.041
1.153 0.424 24.149
2.117 2.601 12.797
1.153 3.569 9.978
-1.996 2.725 15.617
-1.029 3.689 12.797
-1.149 2.725 18.509
```

Most intense lines, 10 to 90 degrees two-theta, low angle first:
d/Å, 2θ (°), I_rel
3.145, 28.38, 363
2.844, 31.46, 529
2.601, 34.48, 1000
2.437, 36.89, 867
2.109, 42.87, 785
1.976, 45.94, 473
1.634, 56.30, 243
1.514, 61.23, 238
1.489, 62.37, 259
1.456, 63.94, 251